(1)
Computed powder diffraction line list
Compound: NbBMo2
Radiation: CuKα
Structure: a DFT-relaxed cell (PBE, Alexandria)
No peak broadening, texture or thermal motion is included.

Structure:
```
NbBMo2
1.0
-3.6088 3.6088 2.3177
3.6088 -3.6088 2.3177
3.6088 3.6088 -2.3177
Nb B Mo
2 2 4
Direct
0.0000 0.0000 0.0000
0.7500 0.2500 0.5000
0.2500 0.7500 0.5000
0.5000 0.5000 0.0000
0.2228 0.1250 0.5978
0.3750 0.7772 0.9022
0.5272 0.6250 0.4022
0.8750 0.4728 0.0978
```

Most intense lines, 2θ from 10° to 90°, in order of rising 2θ:
- 33.84 deg, I 100
- 35.17 deg, I 29
- 39.48 deg, I 16
- 42.33 deg, I 29
- 42.85 deg, I 41
- 68.02 deg, I 17

(2)
Computed powder diffraction line list
Compound: Mg14VGa
Radiation: CuKα
Structure: a DFT-relaxed cell (PBE, Alexandria)
No peak broadening, texture or thermal motion is included.

Structure:
```
Mg14VGa
1.0
10.2220 0.0000 0.0000
0.0000 3.1090 5.4349
0.0000 -3.1090 5.4349
Mg V Ga
14 1 1
Direct
0.0000 0.0000 0.0000
0.0000 0.0014 0.5015
0.0000 0.4999 0.4999
0.0000 0.5015 0.0014
0.2530 0.1660 0.1660
0.2541 0.6644 0.6644
0.2622 0.1708 0.6672
0.2622 0.6672 0.1708
0.5000 0.4991 0.9954
0.5000 0.9954 0.4991
0.7378 0.1708 0.6672
0.7378 0.6672 0.1708
0.7459 0.6644 0.6644
0.7470 0.1660 0.1660
0.5000 0.5012 0.5012
0.5000 0.0001 0.0001
```

Most intense lines, 2θ from 10° to 90°, in order of rising 2θ:
- 33.20 deg, I 25
- 35.12 deg, I 40
- 37.48 deg, I 50
- 37.69 deg, I 100
- 64.71 deg, I 18
- 70.56 deg, I 19